Diffraction record for Ca2ZrTiSi2O10. The X-ray powder pattern is computed, not measured: it uses the GGA-PBE geometry in Alexandria and copper Kα.
Neutral-atom scattering factors, no anomalous dispersion.

Crystal structure
```
Ca2ZrTiSi2O10
1.0
5.473 0.000 0.000
-1.574 5.412 0.000
-1.646 -2.362 6.772
Ca Zr Ti Si O
2 1 1 2 10
Cartesian
-0.117 1.088 2.018 Ca
2.369 1.961 4.755 Ca
2.737 0.000 0.000 Zr
1.913 -1.181 3.386 Ti
-0.751 -0.055 5.030 Si
3.004 3.105 1.742 Si
-1.291 3.094 2.917 O
-0.633 -1.449 5.886 O
-1.172 1.203 5.998 O
0.680 0.246 4.231 O
1.712 -0.249 1.773 O
0.541 3.299 4.999 O
1.573 2.803 2.541 O
3.425 1.847 0.774 O
2.886 4.499 0.886 O
3.544 -0.044 3.855 O
```

Top 8 peaks for 2θ from 5° to 70°, in order of falling intensity:
| Position (°2θ) | Rel. int. | index |
| --- | --- | --- |
| 29.10 | 100 | 1 1 0 |
| 26.78 | 100 | 1 0 -2 |
| 33.16 | 58 | 1 -1 2 |
| 26.36 | 50 | 0 1 -2 |
| 33.26 | 49 | 1 -2 0 |
| 33.96 | 43 | 2 -1 0 |
| 17.35 | 39 | 0 1 0 |
| 17.78 | 27 | 1 0 0 |